1.
Computed powder XRD pattern
Compound: In2Ag3P3O12
Radiation: Cu Kα
Structure: a cell relaxed with PBE
Neutral-atom scattering factors, no anomalous dispersion.

Structure:
Cell: 9.008 9.008 6.605 Å, 106.23 106.23 90.98°
Atoms (fractional coordinates):
In  0.073  0.383  0.156
In  0.383  0.073  0.656
In  0.617  0.927  0.344
In  0.927  0.617  0.844
Ag  0.002  0.998  0.750
Ag  0.284  0.716  0.750
Ag  0.500  0.500  0.000
Ag  0.500  0.500  0.500
Ag  0.716  0.284  0.250
Ag  0.998  0.002  0.250
P  0.138  0.341  0.638
P  0.268  0.732  0.250
P  0.341  0.138  0.138
P  0.659  0.862  0.862
P  0.732  0.268  0.750
P  0.862  0.659  0.362
O  0.010  0.337  0.423
O  0.072  0.414  0.835
O  0.146  0.751  0.043
O  0.164  0.168  0.635
O  0.168  0.164  0.135
O  0.249  0.854  0.457
O  0.252  0.568  0.283
O  0.290  0.429  0.661
O  0.337  0.010  0.923
O  0.414  0.072  0.335
O  0.429  0.290  0.161
O  0.432  0.748  0.217
O  0.568  0.252  0.783
O  0.571  0.710  0.839
O  0.586  0.928  0.665
O  0.663  0.990  0.077
O  0.710  0.571  0.339
O  0.748  0.432  0.717
O  0.751  0.146  0.543
O  0.832  0.836  0.865
O  0.836  0.832  0.365
O  0.854  0.249  0.957
O  0.928  0.586  0.165
O  0.990  0.663  0.577

Principal peaks in the range 2θ = 10–80°, in order of rising 2θ:
2θ (°)	I (rel.)
30.17	42
30.88	63
31.86	100
34.18	35
34.54	61
49.85	27

2.
Computed powder XRD pattern
Compound: InAgSeO
Radiation: Cu Kα
Structure: a cell relaxed with PBE
Neutral-atom scattering factors, no anomalous dispersion.

Structure:
Cell: 5.633 5.630 10.895 Å, 90.00 91.30 90.00°
Atoms (fractional coordinates):
In  0.003  0.000  0.093
In  0.496  0.000  0.906
In  0.504  0.500  0.094
In  0.997  0.500  0.907
Ag  0.001  0.515  0.302
Ag  0.292  0.268  0.503
Ag  0.708  0.768  0.497
Ag  0.999  0.015  0.698
Se  0.304  0.209  0.276
Se  0.306  0.317  0.731
Se  0.694  0.817  0.269
Se  0.696  0.709  0.724
O  0.247  0.249  0.002
O  0.251  0.750  0.000
O  0.749  0.250  0.000
O  0.753  0.749  0.998

Principal peaks in the range 2θ = 10–80°, in order of rising 2θ:
2θ (°)	I (rel.)
22.33	100
27.54	79
27.97	77
33.10	69
33.67	57
45.56	75

Copy entry 1 word for word.
Computed powder XRD pattern
Compound: In2Ag3P3O12
Radiation: Cu Kα
Structure: a cell relaxed with PBE
Neutral-atom scattering factors, no anomalous dispersion.

Structure:
Cell: 9.008 9.008 6.605 Å, 106.23 106.23 90.98°
Atoms (fractional coordinates):
In  0.073  0.383  0.156
In  0.383  0.073  0.656
In  0.617  0.927  0.344
In  0.927  0.617  0.844
Ag  0.002  0.998  0.750
Ag  0.284  0.716  0.750
Ag  0.500  0.500  0.000
Ag  0.500  0.500  0.500
Ag  0.716  0.284  0.250
Ag  0.998  0.002  0.250
P  0.138  0.341  0.638
P  0.268  0.732  0.250
P  0.341  0.138  0.138
P  0.659  0.862  0.862
P  0.732  0.268  0.750
P  0.862  0.659  0.362
O  0.010  0.337  0.423
O  0.072  0.414  0.835
O  0.146  0.751  0.043
O  0.164  0.168  0.635
O  0.168  0.164  0.135
O  0.249  0.854  0.457
O  0.252  0.568  0.283
O  0.290  0.429  0.661
O  0.337  0.010  0.923
O  0.414  0.072  0.335
O  0.429  0.290  0.161
O  0.432  0.748  0.217
O  0.568  0.252  0.783
O  0.571  0.710  0.839
O  0.586  0.928  0.665
O  0.663  0.990  0.077
O  0.710  0.571  0.339
O  0.748  0.432  0.717
O  0.751  0.146  0.543
O  0.832  0.836  0.865
O  0.836  0.832  0.365
O  0.854  0.249  0.957
O  0.928  0.586  0.165
O  0.990  0.663  0.577

Principal peaks in the range 2θ = 10–80°, in order of rising 2θ:
2θ (°)	I (rel.)
30.17	42
30.88	63
31.86	100
34.18	35
34.54	61
49.85	27